# 1
This entry pairs a crystal structure of BaZn2As2 with its computed powder X-ray diffraction pattern. Radiation: Cu Kα (λ = 1.5418 Å). Structure: a structure optimized by DFT (PBE).
Intensities are scaled so that the largest is 100.

Top 12 peaks for 10 to 80 degrees two-theta, most intense first:
2θ = 29.05°, d 3.074, rel. 100.0
2θ = 33.12°, d 2.705, rel. 66.6
2θ = 43.45°, d 2.083, rel. 44.5
2θ = 53.12°, d 1.724, rel. 36.2
2θ = 50.66°, d 1.802, rel. 34.5
2θ = 39.43°, d 2.286, rel. 24.9
2θ = 71.41°, d 1.321, rel. 17.6
2θ = 40.43°, d 2.231, rel. 15.4
2θ = 60.11°, d 1.539, rel. 14.8
2θ = 63.13°, d 1.473, rel. 14.2
2θ = 30.35°, d 2.945, rel. 13.4
2θ = 73.18°, d 1.293, rel. 12.6

Structural model:
a b c (Å): 4.165 4.165 13.669
angles (deg): 90.00 90.00 90.00
Sites, in units of the cell vectors:
Ba 0.000 0.000 0.000
Ba 0.500 0.500 0.500
Zn 0.000 0.500 0.250
Zn 0.000 0.500 0.750
Zn 0.500 0.000 0.250
Zn 0.500 0.000 0.750
As 0.000 0.000 0.364
As 0.000 0.000 0.636
As 0.500 0.500 0.136
As 0.500 0.500 0.864

# 2
This entry pairs a crystal structure of Hf2CN with its computed powder X-ray diffraction pattern. Radiation: Cu Kα (λ = 1.5418 Å). Structure: a structure optimized by DFT (PBE).
Intensities are scaled so that the largest is 100.

Top 5 peaks for 10 to 80 degrees two-theta, most intense first:
2θ = 33.75°, d 2.656, rel. 100.0
2θ = 39.17°, d 2.300, rel. 65.9
2θ = 56.59°, d 1.626, rel. 44.6
2θ = 67.54°, d 1.387, rel. 42.7
2θ = 70.98°, d 1.328, rel. 15.0

Structural model:
a b c (Å): 3.253 3.253 15.930
angles (deg): 90.00 90.00 120.00
Sites, in units of the cell vectors:
Hf 0.000 0.000 0.249
Hf 0.000 0.000 0.751
Hf 0.333 0.667 0.418
Hf 0.333 0.667 0.915
Hf 0.667 0.333 0.085
Hf 0.667 0.333 0.582
C 0.000 0.000 0.500
C 0.333 0.667 0.167
C 0.667 0.333 0.833
N 0.000 0.000 0.000
N 0.333 0.667 0.667
N 0.667 0.333 0.333

# 3
This entry pairs a crystal structure of Ce4Ho11S22 with its computed powder X-ray diffraction pattern. Radiation: Cu Kα (λ = 1.5418 Å). Structure: a structure optimized by DFT (PBE).
Intensities are scaled so that the largest is 100.

Top 12 peaks for 10 to 80 degrees two-theta, most intense first:
2θ = 24.20°, d 3.678, rel. 100.0
2θ = 23.48°, d 3.789, rel. 79.8
2θ = 31.37°, d 2.851, rel. 64.1
2θ = 27.61°, d 3.231, rel. 64.0
2θ = 26.32°, d 3.386, rel. 61.3
2θ = 33.83°, d 2.650, rel. 59.1
2θ = 42.05°, d 2.149, rel. 51.3
2θ = 27.20°, d 3.278, rel. 48.2
2θ = 45.91°, d 1.977, rel. 47.3
2θ = 43.94°, d 2.061, rel. 41.3
2θ = 24.88°, d 3.578, rel. 38.1
2θ = 46.18°, d 1.966, rel. 34.5

Structural model:
a b c (Å): 19.745 19.745 11.372
angles (deg): 91.74 91.74 11.49
Sites, in units of the cell vectors:
Ce 0.104 0.104 0.012
Ce 0.369 0.369 0.349
Ce 0.631 0.631 0.651
Ce 0.896 0.896 0.988
Ho 0.000 0.000 0.000
Ho 0.070 0.070 0.360
Ho 0.202 0.202 0.941
Ho 0.265 0.265 0.352
Ho 0.342 0.342 0.699
Ho 0.462 0.462 0.270
Ho 0.538 0.538 0.730
Ho 0.658 0.658 0.301
Ho 0.735 0.735 0.648
Ho 0.798 0.798 0.059
Ho 0.930 0.930 0.640
S 0.008 0.008 0.240
S 0.087 0.087 0.753
S 0.135 0.135 0.452
S 0.169 0.169 0.151
S 0.187 0.187 0.691
S 0.255 0.255 0.119
S 0.279 0.279 0.592
S 0.351 0.351 0.090
S 0.407 0.407 0.789
S 0.445 0.445 0.494
S 0.453 0.453 0.030
S 0.547 0.547 0.970
S 0.555 0.555 0.506
S 0.593 0.593 0.211
S 0.649 0.649 0.910
S 0.721 0.721 0.408
S 0.745 0.745 0.881
S 0.813 0.813 0.309
S 0.831 0.831 0.849
S 0.865 0.865 0.548
S 0.913 0.913 0.247
S 0.992 0.992 0.760

# 4
This entry pairs a crystal structure of KCu7S4 with its computed powder X-ray diffraction pattern. Radiation: Cu Kα (λ = 1.5418 Å). Structure: a structure optimized by DFT (PBE).
Intensities are scaled so that the largest is 100.

Top 12 peaks for 10 to 80 degrees two-theta, most intense first:
2θ = 12.39°, d 7.145, rel. 100.0
2θ = 35.47°, d 2.530, rel. 32.1
2θ = 47.30°, d 1.922, rel. 24.2
2θ = 43.87°, d 2.064, rel. 21.1
2θ = 43.21°, d 2.094, rel. 19.9
2θ = 43.69°, d 2.072, rel. 19.4
2θ = 44.38°, d 2.041, rel. 19.3
2θ = 35.82°, d 2.507, rel. 17.9
2θ = 53.05°, d 1.726, rel. 14.4
2θ = 34.94°, d 2.568, rel. 12.3
2θ = 37.76°, d 2.382, rel. 11.9
2θ = 52.54°, d 1.742, rel. 10.2

Structural model:
a b c (Å): 3.844 7.369 7.404
angles (deg): 85.20 75.17 75.81
Sites, in units of the cell vectors:
K 0.000 0.000 0.000
Cu 0.276 0.420 0.087
Cu 0.304 0.907 0.459
Cu 0.382 0.607 0.659
Cu 0.665 0.382 0.338
Cu 0.797 0.575 0.893
Cu 0.955 0.655 0.389
Cu 0.992 0.335 0.616
S 0.249 0.196 0.337
S 0.413 0.318 0.798
S 0.543 0.670 0.192
S 0.780 0.817 0.662